The following is a computed XRD peak list of Ba3Pa3ReN8. It was derived from a GGA-PBE-relaxed structure, using a wavelength of 1.5418 Å.

Most intense lines, 10° ≤ 2θ ≤ 90°, low angle first:
| Position (°2θ) | I (rel.) | h k l |
| --- | --- | --- |
| 13.9 | 45 | 0 0 3 |
| 27.9 | 47 | 0 0 6 |
| 30.9 | 100 | 2 0 2 |
| 35.0 | 98 | 0 2 4 |
| 48.4 | 36 | 2 0 8 |
| 52.3 | 32 | 2 2 0 |
| 56.8 | 22 | 0 2 10 |
| 60.3 | 34 | 2 2 6 |

Cell and atoms:
Cell lengths 6.9995, 6.9995, 19.1645 Å; angles 90.00, 90.00, 120.00 degrees
Space group R-3m (No. 166, hexagonal axes)
Inequivalent atoms, fractional coordinates:
Ba1 0.0000 0.5000 0.0000 [9 per cell]
Pa1 0.0000 0.5000 0.5000 [9 per cell]
Re1 0.0000 0.0000 0.5000 [3 per cell]
N1 0.0000 0.0000 0.2270 [6 per cell]
N2 0.0124 0.5062 0.2216 [18 per cell]